1.
For LaHCl3, a DFT-relaxed cell (GGA-PBE, Alexandria) gives the calculated powder X-ray diffraction pattern in this record (Cu Kα).
Peak positions follow from Bragg's law for the DFT cell and can differ from measured ones.

The 10 most intense peaks (2θ from 10° to 90°), sorted by position:
two_theta	I_rel
13.02	100.0
13.56	98.1
13.93	39.0
17.20	32.0
24.03	28.4
26.85	34.4
30.28	38.7
30.56	40.3
34.80	31.9
35.42	31.9

Structure:
```
data_LaHCl3
_cell_length_a 7.181
_cell_length_b 7.609
_cell_length_c 13.433
_cell_angle_alpha 90.00
_cell_angle_beta 108.77
_cell_angle_gamma 90.00
_space_group_name_H-M_alt 'P 1'
_space_group_IT_number 1
_space_group_name_Hall 'P 1'
loop_
_atom_site_label
_atom_site_type_symbol
_atom_site_fract_x
_atom_site_fract_y
_atom_site_fract_z
La1 La 0.001 0.249 0.085
La2 La 0.001 0.751 0.585
La3 La 0.999 0.249 0.415
La4 La 0.999 0.751 0.915
H1 H 0.055 0.266 0.760
H2 H 0.055 0.734 0.260
H3 H 0.945 0.266 0.740
H4 H 0.945 0.734 0.240
Cl1 Cl 0.244 0.469 0.017
Cl2 Cl 0.244 0.531 0.517
Cl3 Cl 0.245 0.033 0.568
Cl4 Cl 0.245 0.967 0.068
Cl5 Cl 0.252 0.249 0.294
Cl6 Cl 0.252 0.751 0.794
Cl7 Cl 0.748 0.249 0.206
Cl8 Cl 0.748 0.751 0.706
Cl9 Cl 0.755 0.033 0.932
Cl10 Cl 0.755 0.967 0.432
Cl11 Cl 0.756 0.469 0.483
Cl12 Cl 0.756 0.531 0.983
```

---

2.
For Ag2H5Pd3, a DFT-relaxed cell (GGA-PBE, Alexandria) gives the calculated powder X-ray diffraction pattern in this record (Cu Kα).
Peak positions follow from Bragg's law for the DFT cell and can differ from measured ones.

The 10 most intense peaks (2θ from 10° to 90°), sorted by position:
two_theta	I_rel
31.57	30.4
34.22	20.3
34.33	52.2
36.67	30.6
36.89	100.0
38.51	21.0
41.25	41.3
49.31	40.5
63.18	15.8
78.02	21.3

Structure:
```
data_Ag2H5Pd3
_cell_length_a 7.892
_cell_length_b 7.892
_cell_length_c 7.892
_cell_angle_alpha 141.34
_cell_angle_beta 58.46
_cell_angle_gamma 137.92
_space_group_name_H-M_alt 'P 1'
_space_group_IT_number 1
_space_group_name_Hall 'P 1'
loop_
_atom_site_label
_atom_site_type_symbol
_atom_site_fract_x
_atom_site_fract_y
_atom_site_fract_z
Ag1 Ag 0.196 0.054 0.250
Ag2 Ag 0.304 0.554 0.859
Ag3 Ag 0.696 0.446 0.141
Ag4 Ag 0.804 0.946 0.750
H1 H 0.067 0.875 0.943
H2 H 0.071 0.750 0.321
H3 H 0.250 0.750 0.500
H4 H 0.429 0.750 0.679
H5 H 0.433 0.375 0.808
H6 H 0.567 0.625 0.192
H7 H 0.571 0.250 0.321
H8 H 0.750 0.250 0.500
H9 H 0.929 0.250 0.679
H10 H 0.933 0.125 0.057
Pd1 Pd 0.100 0.531 0.631
Pd2 Pd 0.250 0.250 0.000
Pd3 Pd 0.400 0.031 0.431
Pd4 Pd 0.600 0.969 0.569
Pd5 Pd 0.750 0.750 0.000
Pd6 Pd 0.900 0.469 0.369
```

---

3.
For Na2GeTeN, a DFT-relaxed cell (GGA-PBE, Alexandria) gives the calculated powder X-ray diffraction pattern in this record (Cu Kα).
Peak positions follow from Bragg's law for the DFT cell and can differ from measured ones.

The 10 most intense peaks (2θ from 10° to 90°), sorted by position:
two_theta	I_rel
15.26	100.0
21.65	35.9
27.42	18.6
30.80	37.4
33.63	14.7
34.54	27.4
37.12	22.6
40.35	13.8
46.25	23.4
48.98	20.6

Structure:
```
data_Na2GeTeN
_cell_length_a 5.806
_cell_length_b 5.806
_cell_length_c 5.329
_cell_angle_alpha 90.00
_cell_angle_beta 90.00
_cell_angle_gamma 90.00
_space_group_name_H-M_alt 'P 1'
_space_group_IT_number 1
_space_group_name_Hall 'P 1'
loop_
_atom_site_label
_atom_site_type_symbol
_atom_site_fract_x
_atom_site_fract_y
_atom_site_fract_z
Na1 Na 0.000 0.500 0.000
Na2 Na 0.500 0.000 0.000
Ge1 Ge 0.000 0.000 0.000
Te1 Te 0.000 0.000 0.500
N1 N 0.500 0.500 0.500
```

---

4.
For Y3TlS, a DFT-relaxed cell (GGA-PBE, Alexandria) gives the calculated powder X-ray diffraction pattern in this record (Cu Kα).
Peak positions follow from Bragg's law for the DFT cell and can differ from measured ones.

The 10 most intense peaks (2θ from 10° to 90°), sorted by position:
two_theta	I_rel
20.51	24.6
23.33	14.6
30.66	100.0
31.22	22.8
31.77	30.7
32.08	21.6
32.46	44.0
34.66	21.3
37.97	22.0
46.00	19.2

Structure:
```
data_Y3TlS
_cell_length_a 9.037
_cell_length_b 3.946
_cell_length_c 14.821
_cell_angle_alpha 90.00
_cell_angle_beta 90.00
_cell_angle_gamma 90.00
_space_group_name_H-M_alt 'P 1'
_space_group_IT_number 1
_space_group_name_Hall 'P 1'
loop_
_atom_site_label
_atom_site_type_symbol
_atom_site_fract_x
_atom_site_fract_y
_atom_site_fract_z
Y1 Y 0.029 0.250 0.111
Y2 Y 0.166 0.250 0.511
Y3 Y 0.208 0.750 0.284
Y4 Y 0.292 0.250 0.784
Y5 Y 0.334 0.750 0.011
Y6 Y 0.471 0.750 0.611
Y7 Y 0.529 0.250 0.389
Y8 Y 0.666 0.250 0.989
Y9 Y 0.708 0.750 0.216
Y10 Y 0.792 0.250 0.716
Y11 Y 0.834 0.750 0.489
Y12 Y 0.971 0.750 0.889
Tl1 Tl 0.068 0.750 0.673
Tl2 Tl 0.432 0.250 0.173
Tl3 Tl 0.568 0.750 0.827
Tl4 Tl 0.932 0.250 0.327
S1 S 0.160 0.250 0.945
S2 S 0.340 0.750 0.445
S3 S 0.660 0.250 0.555
S4 S 0.840 0.750 0.055
```